Diffraction record for Tb2Pd3Pt3. The powder X-ray diffraction pattern is calculated, not measured: it uses a cell relaxed with GGA-PBE and Cu Kα (weighted mean of Kα1 and Kα2).
Kinematic intensities with the Lorentz-polarization factor, no thermal factor.

Principal peaks in the range 2θ = 10–90°, low angle first:
| 2θ/deg | I/Imax |
| --- | --- |
| 37.73 | 100 |
| 43.54 | 17 |
| 43.89 | 16 |
| 44.12 | 16 |
| 63.54 | 11 |
| 63.72 | 11 |
| 76.08 | 13 |
| 76.58 | 13 |
| 76.90 | 13 |
| 80.60 | 11 |

Atomic structure:
Cell: 4.1256 4.1569 8.2107 Å, 90.00 90.00 90.00°
Space group Pmmm (No. 47)
One atom of each set of equivalent atoms:
Tb1 0.0000 0.0000 0.2501 (multiplicity 2)
Pd1 0.0000 0.5000 0.0000 (multiplicity 1)
Pd2 0.5000 0.0000 0.0000 (multiplicity 1)
Pd3 0.5000 0.0000 0.5000 (multiplicity 1)
Pt1 0.0000 0.5000 0.5000 (multiplicity 1)
Pt2 0.5000 0.5000 0.2499 (multiplicity 2)

=====

Diffraction record for BaSc2Tl2. The powder X-ray diffraction pattern is calculated, not measured: it uses a cell relaxed with GGA-PBE and Cu Kα (weighted mean of Kα1 and Kα2).
Kinematic intensities with the Lorentz-polarization factor, no thermal factor.

Principal peaks in the range 2θ = 10–90°, low angle first:
| 2θ/deg | I/Imax |
| --- | --- |
| 21.77 | 66 |
| 27.63 | 26 |
| 30.97 | 69 |
| 33.21 | 61 |
| 34.67 | 100 |
| 40.75 | 30 |
| 49.36 | 33 |
| 50.43 | 34 |
| 58.47 | 17 |
| 64.39 | 17 |

Atomic structure:
Cell: 9.1305 9.1305 3.3439 Å, 90.00 90.00 90.00°
Space group P4/mbm (No. 127)
One atom of each set of equivalent atoms:
Ba1 0.0000 0.0000 0.0000 (multiplicity 2)
Sc1 0.1206 0.3794 0.0000 (multiplicity 4)
Tl1 0.1737 0.6737 0.5000 (multiplicity 4)